# 1
# LaSm6Th2
Computed XRD peak list, a wavelength of 1.5418 Å. Input: a cell relaxed with PBE.

Top 10 peaks for 2θ from 15° to 90°, in order of falling intensity:
| Position (°2θ) | d/Å | I/Imax |
| --- | --- | --- |
| 33.05 | 2.710 | 100 |
| 31.49 | 2.841 | 86 |
| 29.60 | 3.018 | 63 |
| 28.54 | 3.127 | 54 |
| 59.68 | 1.549 | 53 |
| 50.55 | 1.806 | 45 |
| 41.59 | 2.172 | 38 |
| 55.76 | 1.649 | 28 |
| 34.87 | 2.573 | 27 |
| 30.24 | 2.956 | 22 |

Atomic structure:
```
LaSm6Th2
1.0
3.611 0.000 0.000
-1.806 3.127 0.000
0.000 0.000 27.161
La Sm Th
1 6 2
Direct
0.000 0.000 0.000
0.000 0.000 0.223
0.000 0.000 0.437
0.000 0.000 0.563
0.000 0.000 0.777
0.333 0.667 0.114
0.333 0.667 0.886
0.333 0.667 0.332
0.333 0.667 0.668
```

***

# 2
# La4Sm5Th2
Computed XRD peak list, a wavelength of 1.5418 Å. Input: a cell relaxed with PBE.

Top 10 peaks for 2θ from 15° to 90°, in order of falling intensity:
| Position (°2θ) | d/Å | I/Imax |
| --- | --- | --- |
| 31.07 | 2.878 | 100 |
| 30.67 | 2.915 | 71 |
| 29.70 | 3.008 | 59 |
| 31.80 | 2.814 | 56 |
| 31.23 | 2.864 | 53 |
| 55.75 | 1.649 | 42 |
| 31.02 | 2.883 | 41 |
| 31.43 | 2.846 | 39 |
| 33.06 | 2.710 | 37 |
| 30.12 | 2.967 | 32 |

Atomic structure:
```
La4Sm5Th2
1.0
12.048 -1.807 0.000
12.048 1.807 0.000
-3.409 0.000 8.901
La Sm Th
4 5 2
Direct
0.014 0.014 0.328
0.170 0.170 0.380
0.830 0.830 0.620
0.986 0.986 0.672
0.124 0.124 0.974
0.242 0.242 0.825
0.500 0.500 0.000
0.758 0.758 0.175
0.876 0.876 0.026
0.389 0.389 0.362
0.611 0.611 0.638
```